Starting from a DFT-relaxed cell (GGA-PBE, Alexandria), the powder XRD pattern of KY2SiPd was simulated for Cu Kα X-rays.

Atomic structure:
abc: 5.3429 5.3429 4.7429
angles: 90.00 90.00 90.00
Element x y z (fractional)
1 K 0.0000 0.0000 0.0000
2 Y 0.0000 0.5000 0.0000
3 Y 0.5000 0.0000 0.0000
4 Si 0.5000 0.5000 0.5000
5 Pd 0.0000 0.0000 0.5000

Most intense lines, 2θ from 15° to 90°, sorted by position:
hkl, 2theta, Rel. int.
1 0 0, 16.6, 41
1 1 1, 30.2, 100
2 0 0, 33.5, 63
0 0 2, 37.9, 22
2 2 0, 48.2, 22
2 0 2, 51.5, 36
3 1 1, 57.9, 31
2 2 2, 62.9, 19
1 1 3, 63.8, 11
3 1 3, 83.8, 11